Structure and theoretical PXRD pattern of Li4FeB2O6 (a crystal structure in the Materials Project, relaxed with PBE+U; Cu Kα X-rays).

Top 10 peaks for 10° ≤ 2θ ≤ 90°, in order of rising 2θ:
d = 6.059 Å, 14.62 deg, I 100; d = 3.087 Å, 28.92 deg, I 15; d = 3.029 Å, 29.49 deg, I 36; d = 2.932 Å, 30.49 deg, I 33; d = 2.902 Å, 30.81 deg, I 70; d = 2.552 Å, 35.17 deg, I 21; d = 2.307 Å, 39.05 deg, I 21; d = 2.020 Å, 44.88 deg, I 13; d = 1.669 Å, 55.03 deg, I 14; d = 1.664 Å, 55.19 deg, I 18

Structural model:
Cell: 3.3290 7.9562 9.3497 Å, 89.94 89.72 89.12°
Sites, in units of the cell vectors:
Li (0.0000, 0.0000, 0.0000)
Li (0.0013, 0.6725, 0.6468)
Li (0.4936, 0.1679, 0.1461)
Li (0.4967, 0.8405, 0.5001)
Li (0.5014, 0.4995, 0.3859)
Li (0.5045, 0.1723, 0.7391)
Li (0.9971, 0.6676, 0.2395)
Li (0.9985, 0.3404, 0.8855)
Fe (0.4998, 0.6706, 0.9432)
Fe (0.9991, 0.1705, 0.4425)
B (0.0065, 0.9341, 0.7437)
B (0.4883, 0.9060, 0.2433)
B (0.5101, 0.4343, 0.6423)
B (0.9924, 0.4064, 0.1421)
O (0.0067, 0.4233, 0.2898)
O (0.0078, 0.0885, 0.8075)
O (0.0171, 0.7869, 0.8312)
O (0.4746, 0.0532, 0.3303)
O (0.4924, 0.7517, 0.3075)
O (0.4975, 0.4165, 0.7900)
O (0.5013, 0.9234, 0.0956)
O (0.5060, 0.5887, 0.5782)
O (0.5235, 0.2873, 0.5549)
O (0.9833, 0.5538, 0.0550)
O (0.9903, 0.2520, 0.0781)
O (0.9915, 0.9167, 0.5961)

Structure and theoretical PXRD pattern of LiFe8O12 (a crystal structure in the Materials Project, relaxed with PBE+U; Cu Kα X-rays).

Top 10 peaks for 10° ≤ 2θ ≤ 90°, in order of rising 2θ:
d = 2.730 Å, 32.80 deg, I 83; d = 2.691 Å, 33.30 deg, I 81; d = 2.679 Å, 33.44 deg, I 100; d = 2.658 Å, 33.72 deg, I 87; d = 2.647 Å, 33.86 deg, I 86; d = 2.629 Å, 34.10 deg, I 78; d = 1.886 Å, 48.26 deg, I 41; d = 1.868 Å, 48.76 deg, I 44; d = 1.549 Å, 59.67 deg, I 39; d = 1.538 Å, 60.16 deg, I 36

Structural model:
Cell: 5.2610 5.3593 7.6662 Å, 89.23 88.26 89.42°
Sites, in units of the cell vectors:
Li (0.0000, 0.0000, 0.0000)
Fe (0.1295, 0.1507, 0.6789)
Fe (0.1442, 0.5703, 0.9112)
Fe (0.1525, 0.6501, 0.4150)
Fe (0.1650, 0.1068, 0.2334)
Fe (0.5992, 0.0901, 0.8992)
Fe (0.6474, 0.6431, 0.6890)
Fe (0.6476, 0.1469, 0.4098)
Fe (0.6519, 0.5868, 0.1908)
O (0.0068, 0.7058, 0.1449)
O (0.2678, 0.2199, 0.9565)
O (0.2882, 0.5127, 0.6532)
O (0.3739, 0.3856, 0.3157)
O (0.4544, 0.8635, 0.3131)
O (0.4911, 0.0142, 0.6501)
O (0.4960, 0.7179, 0.9542)
O (0.7803, 0.2089, 0.1463)
O (0.8046, 0.5068, 0.4600)
O (0.8372, 0.3565, 0.8022)
O (0.9358, 0.8582, 0.7982)
O (0.9919, 0.0051, 0.4680)

Structure and theoretical PXRD pattern of SrEuDyMnO6 (a crystal structure in the Materials Project, relaxed with PBE+U; Cu Kα X-rays).

Top 10 peaks for 10° ≤ 2θ ≤ 90°, in order of rising 2θ:
d = 4.723 Å, 18.79 deg, I 15; d = 2.892 Å, 30.92 deg, I 100; d = 2.466 Å, 36.43 deg, I 11; d = 2.045 Å, 44.29 deg, I 31; d = 1.877 Å, 48.51 deg, I 6; d = 1.670 Å, 54.99 deg, I 39; d = 1.446 Å, 64.43 deg, I 19; d = 1.293 Å, 73.17 deg, I 18; d = 1.181 Å, 81.53 deg, I 6; d = 1.093 Å, 89.70 deg, I 22

Structural model:
Cell: 5.7843 5.7843 5.7843 Å, 60.00 60.00 60.00°
Sites, in units of the cell vectors:
Sr (0.0000, 0.0000, 0.0000)
Eu (0.5000, 0.5000, 0.5000)
Dy (0.2500, 0.2500, 0.2500)
Mn (0.7500, 0.7500, 0.7500)
O (0.5170, 0.5170, 0.9830)
O (0.5170, 0.9830, 0.5170)
O (0.5170, 0.9830, 0.9830)
O (0.9830, 0.5170, 0.5170)
O (0.9830, 0.5170, 0.9830)
O (0.9830, 0.9830, 0.5170)

Structure and theoretical PXRD pattern of MgFe8O8F8 (a crystal structure in the Materials Project, relaxed with PBE+U; Cu Kα X-rays).

Top 10 peaks for 10° ≤ 2θ ≤ 90°, in order of rising 2θ:
d = 3.463 Å, 25.72 deg, I 91; d = 3.448 Å, 25.84 deg, I 100; d = 2.629 Å, 34.11 deg, I 72; d = 2.606 Å, 34.42 deg, I 53; d = 2.307 Å, 39.05 deg, I 49; d = 1.799 Å, 50.75 deg, I 27; d = 1.795 Å, 50.87 deg, I 28; d = 1.773 Å, 51.54 deg, I 29; d = 1.549 Å, 59.67 deg, I 25; d = 1.459 Å, 63.78 deg, I 33

Structural model:
Cell: 9.6297 3.0990 9.9257 Å, 90.00 90.25 90.00°
Sites, in units of the cell vectors:
Mg (0.0000, 0.0000, 0.0000)
Fe (0.2348, 0.0000, 0.5049)
Fe (0.3248, 0.0000, 0.9919)
Fe (0.4853, 0.5000, 0.2397)
Fe (0.4992, 0.5000, 0.7662)
Fe (0.7107, 0.0000, 0.0059)
Fe (0.7412, 0.0000, 0.5006)
Fe (0.9452, 0.5000, 0.2627)
Fe (0.9466, 0.5000, 0.7362)
O (0.3410, 0.5000, 0.8793)
O (0.3857, 0.0000, 0.1759)
O (0.6000, 0.0000, 0.8416)
O (0.6276, 0.5000, 0.0967)
O (0.8224, 0.5000, 0.4119)
O (0.8637, 0.0000, 0.6531)
O (0.8663, 0.5000, 0.9204)
O (0.8758, 0.0000, 0.1606)
F (0.0714, 0.0000, 0.3434)
F (0.0761, 0.0000, 0.8182)
F (0.1024, 0.5000, 0.0862)
F (0.1191, 0.5000, 0.5953)
F (0.3400, 0.5000, 0.4092)
F (0.4023, 0.0000, 0.6494)
F (0.5829, 0.0000, 0.3563)
F (0.6262, 0.5000, 0.5905)

Structure and theoretical PXRD pattern of CaMg6CoO8 (a crystal structure in the Materials Project, relaxed with PBE+U; Cu Kα X-rays).

Top 10 peaks for 10° ≤ 2θ ≤ 90°, in order of rising 2θ:
d = 4.374 Å, 20.30 deg, I 13; d = 3.071 Å, 29.07 deg, I 10; d = 2.514 Å, 35.72 deg, I 32; d = 2.187 Å, 41.28 deg, I 100; d = 2.157 Å, 41.89 deg, I 47; d = 1.547 Å, 59.80 deg, I 29; d = 1.536 Å, 60.26 deg, I 55; d = 1.317 Å, 71.64 deg, I 11; d = 1.257 Å, 75.67 deg, I 25; d = 1.094 Å, 89.65 deg, I 8

Structural model:
Cell: 4.3745 4.3745 8.6270 Å, 90.00 90.00 90.00°
Sites, in units of the cell vectors:
Ca (0.0000, 0.0000, 0.0000)
Mg (0.0000, 0.5000, 0.2575)
Mg (0.0000, 0.5000, 0.7425)
Mg (0.5000, 0.0000, 0.2575)
Mg (0.5000, 0.0000, 0.7425)
Mg (0.5000, 0.5000, 0.0000)
Mg (0.5000, 0.5000, 0.5000)
Co (0.0000, 0.0000, 0.5000)
O (0.0000, 0.0000, 0.2634)
O (0.0000, 0.0000, 0.7366)
O (0.0000, 0.5000, 0.0000)
O (0.0000, 0.5000, 0.5000)
O (0.5000, 0.0000, 0.0000)
O (0.5000, 0.0000, 0.5000)
O (0.5000, 0.5000, 0.2507)
O (0.5000, 0.5000, 0.7493)

Structure and theoretical PXRD pattern of CaSmFe4O12 (a crystal structure in the Materials Project, relaxed with PBE+U; Cu Kα X-rays).

Top 10 peaks for 10° ≤ 2θ ≤ 90°, in order of rising 2θ:
d = 7.637 Å, 11.59 deg, I 26; d = 5.367 Å, 16.52 deg, I 26; d = 4.391 Å, 20.22 deg, I 100; d = 2.692 Å, 33.29 deg, I 100; d = 2.683 Å, 33.39 deg, I 50; d = 2.290 Å, 39.35 deg, I 35; d = 1.909 Å, 47.63 deg, I 25; d = 1.897 Å, 47.94 deg, I 49; d = 1.551 Å, 59.61 deg, I 37; d = 1.346 Å, 69.89 deg, I 27

Structural model:
Cell: 5.3669 5.3669 7.6369 Å, 90.00 90.00 90.08°
Sites, in units of the cell vectors:
Ca (0.0000, 0.0000, 0.0000)
Sm (0.5000, 0.5000, 0.5000)
Fe (0.0000, 0.5000, 0.2476)
Fe (0.0000, 0.5000, 0.7524)
Fe (0.5000, 0.0000, 0.2476)
Fe (0.5000, 0.0000, 0.7524)
O (0.0000, 0.5000, 0.0000)
O (0.0000, 0.5000, 0.5000)
O (0.2515, 0.2515, 0.2560)
O (0.2515, 0.2515, 0.7440)
O (0.2595, 0.7405, 0.2575)
O (0.2595, 0.7405, 0.7425)
O (0.5000, 0.0000, 0.0000)
O (0.5000, 0.0000, 0.5000)
O (0.7405, 0.2595, 0.2575)
O (0.7405, 0.2595, 0.7425)
O (0.7485, 0.7485, 0.2560)
O (0.7485, 0.7485, 0.7440)

Structure and theoretical PXRD pattern of Na9Mn15O32 (a crystal structure in the Materials Project, relaxed with PBE+U; Cu Kα X-rays).

Top 10 peaks for 10° ≤ 2θ ≤ 90°, in order of rising 2θ:
d = 5.124 Å, 17.31 deg, I 55; d = 4.991 Å, 17.77 deg, I 100; d = 2.669 Å, 33.58 deg, I 24; d = 2.631 Å, 34.08 deg, I 61; d = 2.611 Å, 34.35 deg, I 30; d = 2.595 Å, 34.56 deg, I 24; d = 2.188 Å, 41.26 deg, I 61; d = 2.149 Å, 42.04 deg, I 29; d = 1.548 Å, 59.75 deg, I 28; d = 1.519 Å, 60.99 deg, I 28

Structural model:
Cell: 6.1947 6.1947 20.4408 Å, 100.56 100.56 59.25°
Sites, in units of the cell vectors:
Na (0.0000, 0.0000, 0.0000)
Na (0.0324, 0.0324, 0.5908)
Na (0.2132, 0.2132, 0.1532)
Na (0.2864, 0.2864, 0.3415)
Na (0.4764, 0.4764, 0.9092)
Na (0.5236, 0.5236, 0.0908)
Na (0.7136, 0.7136, 0.6585)
Na (0.7868, 0.7868, 0.8468)
Na (0.9676, 0.9676, 0.4092)
Mn (0.0000, 0.5000, 0.0000)
Mn (0.0000, 0.5000, 0.5000)
Mn (0.1351, 0.1351, 0.8765)
Mn (0.2477, 0.7518, 0.2480)
Mn (0.2482, 0.7523, 0.7520)
Mn (0.2509, 0.2509, 0.7509)
Mn (0.3763, 0.3763, 0.6257)
Mn (0.5000, 0.0000, 0.0000)
Mn (0.5000, 0.0000, 0.5000)
Mn (0.5000, 0.5000, 0.5000)
Mn (0.6237, 0.6237, 0.3743)
Mn (0.7491, 0.7491, 0.2491)
Mn (0.7518, 0.2477, 0.2480)
Mn (0.7523, 0.2482, 0.7520)
Mn (0.8649, 0.8649, 0.1235)
O (0.0305, 0.0305, 0.1904)
O (0.0329, 0.6136, 0.1944)
O (0.0720, 0.0720, 0.7006)
O (0.1101, 0.5407, 0.6986)
O (0.1215, 0.6856, 0.0682)
O (0.2038, 0.2038, 0.0465)
O (0.2088, 0.6368, 0.5514)
O (0.2171, 0.2171, 0.5586)
O (0.2883, 0.2883, 0.4486)
O (0.2973, 0.2973, 0.9446)
O (0.3144, 0.8785, 0.9318)
O (0.3632, 0.7912, 0.4486)
O (0.3864, 0.9671, 0.8056)
O (0.4283, 0.4283, 0.8003)
O (0.4593, 0.8899, 0.3014)
O (0.4664, 0.4664, 0.3061)
O (0.5336, 0.5336, 0.6939)
O (0.5407, 0.1101, 0.6986)
O (0.5717, 0.5717, 0.1997)
O (0.6136, 0.0329, 0.1944)
O (0.6368, 0.2088, 0.5514)
O (0.6856, 0.1215, 0.0682)
O (0.7027, 0.7027, 0.0554)
O (0.7117, 0.7117, 0.5514)
O (0.7829, 0.7829, 0.4414)
O (0.7912, 0.3632, 0.4486)
O (0.7962, 0.7962, 0.9535)
O (0.8785, 0.3144, 0.9318)
O (0.8899, 0.4593, 0.3014)
O (0.9280, 0.9280, 0.2994)
O (0.9671, 0.3864, 0.8056)
O (0.9695, 0.9695, 0.8096)